# 1
# Zn4Ag2Pd
Theoretical PXRD pattern, Cu Kα. Input: a cell relaxed with GGA-PBE.
No peak broadening, texture or thermal motion is included.

Structural model:
a b c (Å): 6.147 8.750 4.384
angles (deg): 90.00 90.00 90.00
Fractional coordinates of all 14 atoms:
Zn 0.217 0.000 0.000
Zn 0.250 0.250 0.500
Zn 0.250 0.750 0.500
Zn 0.283 0.500 0.000
Zn 0.717 0.500 0.000
Zn 0.750 0.250 0.500
Zn 0.750 0.750 0.500
Zn 0.783 0.000 0.000
Ag 0.000 0.268 0.000
Ag 0.000 0.732 0.000
Ag 0.500 0.232 0.000
Ag 0.500 0.768 0.000
Pd 0.000 0.500 0.500
Pd 0.500 0.000 0.500

Largest 6 diffraction maxima, low angle first, 15° ≤ 2θ ≤ 90°:
d/Å	I_rel	h k l
5.030	14	1 1 0
2.259	14	1 3 1
2.190	52	0 0 2
2.182	100	2 2 1
1.548	16	0 4 2
1.263	16	2 2 3

=====

# 2
# Zn8AgPd4
Theoretical PXRD pattern, Cu Kα. Input: a cell relaxed with GGA-PBE.
No peak broadening, texture or thermal motion is included.

Structural model:
a b c (Å): 2.868 4.329 15.987
angles (deg): 90.00 90.00 90.00
Fractional coordinates of all 13 atoms:
Zn 0.000 0.000 0.000
Zn 0.000 0.000 0.270
Zn 0.000 0.500 0.148
Zn 0.000 0.500 0.451
Zn 0.500 0.000 0.410
Zn 0.500 0.000 0.694
Zn 0.500 0.500 0.603
Zn 0.500 0.500 0.950
Ag 0.500 0.000 0.853
Pd 0.000 0.000 0.551
Pd 0.000 0.500 0.750
Pd 0.500 0.000 0.135
Pd 0.500 0.500 0.306

Largest 6 diffraction maxima, low angle first, 15° ≤ 2θ ≤ 90°:
d/Å	I_rel	h k l
2.330	24	1 0 4
2.284	20	0 0 7
2.181	100	1 1 3
2.165	50	0 2 0
2.052	36	1 1 4
2.020	29	0 1 7

=====

# 3
# Zr6AgPd
Theoretical PXRD pattern, Cu Kα. Input: a cell relaxed with GGA-PBE.
No peak broadening, texture or thermal motion is included.

Structural model:
a b c (Å): 4.588 4.588 16.253
angles (deg): 90.00 90.00 90.00
Fractional coordinates of all 16 atoms:
Zr 0.000 0.000 0.249
Zr 0.000 0.000 0.751
Zr 0.000 0.500 0.117
Zr 0.000 0.500 0.383
Zr 0.000 0.500 0.617
Zr 0.000 0.500 0.883
Zr 0.500 0.000 0.117
Zr 0.500 0.000 0.383
Zr 0.500 0.000 0.617
Zr 0.500 0.000 0.883
Zr 0.500 0.500 0.251
Zr 0.500 0.500 0.749
Ag 0.000 0.000 0.000
Ag 0.500 0.500 0.500
Pd 0.000 0.000 0.500
Pd 0.500 0.500 0.000

Largest 6 diffraction maxima, low angle first, 15° ≤ 2θ ≤ 90°:
d/Å	I_rel	h k l
2.535	100	1 1 4
2.294	38	2 0 0
2.032	12	0 0 8
1.622	13	2 2 0
1.521	18	2 0 8
1.366	27	3 1 4